Simulated powder diffraction line list of Sm3PuRh8 for Cu Kα, 1.54184 Å, from a crystal structure in Alexandria, relaxed with PBE.
No peak broadening, texture or thermal motion is included.

```
Sm3PuRh8
1.0
2.6861 1.5508 8.7862
-2.6861 1.5508 8.7862
0.0000 -3.1016 8.7862
Sm Pu Rh
3 1 8
Direct
0.0000 0.0000 0.0000
0.1259 0.1259 0.1259
0.5019 0.5019 0.5019
0.6260 0.6260 0.6260
0.0618 0.5636 0.5636
0.0637 0.0637 0.5645
0.0637 0.5645 0.0637
0.3134 0.3134 0.3134
0.5636 0.0618 0.5636
0.5636 0.5636 0.0618
0.5645 0.0637 0.0637
0.8134 0.8134 0.8134
```

Principal peaks in the range 10 to 90 degrees two-theta, in order of falling intensity:
39.31 deg, d = 2.292 Å, intensity 100; 33.34 deg, d = 2.687 Å, intensity 44; 63.60 deg, d = 1.463 Å, intensity 32; 41.14 deg, d = 2.194 Å, intensity 26; 70.02 deg, d = 1.344 Å, intensity 26; 59.58 deg, d = 1.552 Å, intensity 17; 83.40 deg, d = 1.159 Å, intensity 9; 79.80 deg, d = 1.202 Å, intensity 7; 84.54 deg, d = 1.146 Å, intensity 7; 83.28 deg, d = 1.160 Å, intensity 3